The following is a simulated X-ray diffraction stick pattern of LiY2Pt. It was derived from a DFT-relaxed cell (GGA-PBE, the Materials Project), using Cu Ka.

Atomic structure:
```
data_LiY2Pt
_chemical_formula_sum 'Li1 Y2 Pt1'
_space_group_name_H-M_alt 'P 1'
_space_group_IT_number 1
_space_group_name_Hall 'P 1'
_cell_length_a 4.9949
_cell_length_b 4.9949
_cell_length_c 4.9949
_cell_angle_alpha 60.00
_cell_angle_beta 60.00
_cell_angle_gamma 60.00
loop_
_atom_site_label
_atom_site_type_symbol
_atom_site_fract_x
_atom_site_fract_y
_atom_site_fract_z
Li1 Li 0.0000 0.0000 0.0000
Y1 Y 0.2500 0.2500 0.2500
Y2 Y 0.7500 0.7500 0.7500
Pt1 Pt 0.5000 0.5000 0.5000
```

Principal peaks in the range 2θ from 15° to 90°, in order of rising 2θ:
2θ = 21.79°, d = 4.078 Å, intensity 57
2θ = 35.96°, d = 2.497 Å, intensity 100
2θ = 42.44°, d = 2.130 Å, intensity 31
2θ = 51.77°, d = 1.766 Å, intensity 18
2θ = 56.81°, d = 1.621 Å, intensity 13
2θ = 64.64°, d = 1.442 Å, intensity 36
2θ = 69.09°, d = 1.359 Å, intensity 10
2θ = 76.25°, d = 1.249 Å, intensity 11
2θ = 80.43°, d = 1.194 Å, intensity 10
2θ = 87.30°, d = 1.117 Å, intensity 16